(1)
This entry pairs a crystal structure of NdHoSN with its computed X-ray powder pattern. Radiation: copper Kα. Structure: a structure optimized by DFT (GGA-PBE).
Neutral-atom scattering factors, no anomalous dispersion.

Largest 10 diffraction maxima, by intensity, 15° ≤ 2θ ≤ 90°:
2theta  d (Å)  intensity  index
33.7  2.660  100  1 0 4
29.5  3.026  81  0 1 2
49.6  1.840  37  1 1 0
47.2  1.925  27  0 1 8
27.7  3.220  24  0 0 6
57.7  1.597  20  1 1 6
61.3  1.513  17  0 2 4
36.6  2.458  15  0 1 5
82.6  1.169  15  2 1 4
67.0  1.397  13  1 1 9

Atomic structure:
a b c (Å): 3.6792 3.6792 19.3206
angles (deg): 90.00 90.00 120.00
Space group R3m (No. 160, hexagonal axes)
Inequivalent atoms, fractional coordinates:
1 Nd 0.0000 0.0000 0.0000 [3 per cell]
2 Ho 0.0000 0.0000 0.4733 [3 per cell]
3 S 0.0000 0.0000 0.2322 [3 per cell]
4 N 0.0000 0.0000 0.7440 [3 per cell]


(2)
This entry pairs a crystal structure of AcSn5Te7 with its computed X-ray powder pattern. Radiation: copper Kα. Structure: a structure optimized by DFT (GGA-PBE).
Neutral-atom scattering factors, no anomalous dispersion.

Largest 10 diffraction maxima, by intensity, 15° ≤ 2θ ≤ 90°:
2theta  d (Å)  intensity  index
40.0  2.255  100  0 2 0
28.5  3.127  70  3 1 -3
26.4  3.371  48  2 0 7
27.5  3.243  39  3 1 -2
27.5  3.242  38  3 1 2
37.0  2.429  29  1 1 -9
38.6  2.332  25  5 1 4
72.6  1.302  22  11 1 0
57.8  1.594  20  6 2 -5
48.6  1.875  18  2 2 7

Atomic structure:
a b c (Å): 14.9451 4.5114 26.4438
angles (deg): 90.00 90.03 90.00
Space group Cm (No. 8)
Inequivalent atoms, fractional coordinates:
1 Ac 0.0000 0.0000 0.0000 [2 per cell]
2 Ac 0.0870 0.5000 0.5003 [2 per cell]
3 Sn 0.0136 0.5000 0.1847 [2 per cell]
4 Sn 0.0311 0.5000 0.8318 [2 per cell]
5 Sn 0.0559 0.0000 0.3320 [2 per cell]
6 Sn 0.0730 0.0000 0.6846 [2 per cell]
7 Sn 0.2432 0.0000 0.1123 [2 per cell]
8 Sn 0.2656 0.0000 0.9035 [2 per cell]
9 Sn 0.2883 0.5000 0.2548 [2 per cell]
10 Sn 0.2982 0.5000 0.7544 [2 per cell]
11 Sn 0.3215 0.0000 0.4035 [2 per cell]
12 Sn 0.3433 0.0000 0.6121 [2 per cell]
13 Te 0.1009 0.5000 0.0799 [2 per cell]
14 Te 0.1244 0.5000 0.9336 [2 per cell]
15 Te 0.1497 0.0000 0.2210 [2 per cell]
16 Te 0.1668 0.0000 0.7941 [2 per cell]
17 Te 0.1802 0.5000 0.3754 [2 per cell]
18 Te 0.2072 0.5000 0.6491 [2 per cell]
19 Te 0.2472 0.0000 0.5096 [2 per cell]
20 Te 0.3398 0.0000 0.0098 [2 per cell]
21 Te 0.3790 0.5000 0.1496 [2 per cell]
22 Te 0.4067 0.5000 0.8751 [2 per cell]
23 Te 0.4202 0.0000 0.2942 [2 per cell]
24 Te 0.4370 0.0000 0.7209 [2 per cell]
25 Te 0.4627 0.5000 0.4337 [2 per cell]
26 Te 0.4855 0.5000 0.5798 [2 per cell]


(3)
This entry pairs a crystal structure of PaV3H6 with its computed X-ray powder pattern. Radiation: copper Kα. Structure: a structure optimized by DFT (GGA-PBE).
Neutral-atom scattering factors, no anomalous dispersion.

Largest 10 diffraction maxima, by intensity, 15° ≤ 2θ ≤ 90°:
2theta  d (Å)  intensity  index
23.3  3.812  100  1 0 1
39.6  2.275  79  1 1 0
25.5  3.489  73  0 1 2
33.0  2.716  65  1 0 4
37.7  2.386  52  0 1 5
54.5  1.682  48  1 1 6
35.9  2.499  26  0 0 6
52.5  1.744  18  0 2 4
46.5  1.954  18  0 2 1
55.8  1.647  17  2 0 5

Atomic structure:
a b c (Å): 4.5510 4.5510 14.9937
angles (deg): 90.00 90.00 120.00
Space group R3 (No. 146, hexagonal axes)
Inequivalent atoms, fractional coordinates:
1 Pa 0.0000 0.0000 0.0000 [3 per cell]
2 V 0.0000 0.0000 0.1773 [3 per cell]
3 V 0.0000 0.0000 0.4727 [3 per cell]
4 V 0.0000 0.0000 0.8039 [3 per cell]
5 H 0.0031 0.4979 0.0496 [9 per cell]
6 H 0.0055 0.6228 0.2160 [9 per cell]


(4)
This entry pairs a crystal structure of CaBeZnHS with its computed X-ray powder pattern. Radiation: copper Kα. Structure: a structure optimized by DFT (GGA-PBE).
Neutral-atom scattering factors, no anomalous dispersion.

Largest 10 diffraction maxima, by intensity, 15° ≤ 2θ ≤ 90°:
2theta  d (Å)  intensity  index
28.7  3.112  100  1 1 -1
32.5  2.751  46  2 0 1
42.5  2.126  32  3 1 0
34.4  2.605  23  2 0 -2
45.3  2.002  20  1 1 2
58.2  1.585  19  2 2 1
46.8  1.940  15  0 2 0
24.2  3.679  14  2 0 -1
33.1  2.704  13  0 0 2
47.3  1.922  12  3 1 -2

Atomic structure:
a b c (Å): 7.9950 3.8796 5.6696
angles (deg): 90.00 107.45 90.00
Space group Cm (No. 8)
Inequivalent atoms, fractional coordinates:
1 Ca 0.0000 0.0000 0.0000 [2 per cell]
2 Be 0.3011 0.0000 0.5666 [2 per cell]
3 Zn 0.1331 0.5000 0.5771 [2 per cell]
4 H 0.4737 0.0000 0.7656 [2 per cell]
5 S 0.3585 0.0000 0.2358 [2 per cell]


(5)
This entry pairs a crystal structure of Cs2CaZnSb2 with its computed X-ray powder pattern. Radiation: copper Kα. Structure: a structure optimized by DFT (GGA-PBE).
Neutral-atom scattering factors, no anomalous dispersion.

Largest 10 diffraction maxima, by intensity, 15° ≤ 2θ ≤ 90°:
2theta  d (Å)  intensity  index
26.6  3.348  100  1 4 1
34.6  2.591  42  2 0 2
43.9  2.061  24  1 4 3
24.1  3.700  23  0 0 2
44.5  2.037  20  3 4 1
24.5  3.631  20  2 0 0
31.6  2.828  17  0 4 2
44.9  2.020  16  1 8 1
32.0  2.797  15  2 4 0
69.3  1.356  10  5 4 1

Atomic structure:
a b c (Å): 7.2619 17.5430 7.3996
angles (deg): 90.00 90.00 90.00
Space group Ibam (No. 72)
Inequivalent atoms, fractional coordinates:
1 Cs 0.2410 0.1749 0.0000 [8 per cell]
2 Ca 0.0000 0.5000 0.2500 [4 per cell]
3 Zn 0.0000 0.0000 0.2500 [4 per cell]
4 Sb 0.2198 0.0860 0.5000 [8 per cell]


(6)
This entry pairs a crystal structure of Hf4AlGe with its computed X-ray powder pattern. Radiation: copper Kα. Structure: a structure optimized by DFT (GGA-PBE).
Neutral-atom scattering factors, no anomalous dispersion.

Largest 10 diffraction maxima, by intensity, 15° ≤ 2θ ≤ 90°:
2theta  d (Å)  intensity  index
34.3  2.614  100  2 1 1
42.5  2.125  23  3 1 0
60.9  1.522  20  2 1 3
33.9  2.648  16  0 0 2
78.8  1.215  14  5 2 1
38.9  2.313  13  1 1 2
69.1  1.359  13  3 3 2
43.5  2.080  11  2 0 2
65.8  1.419  10  4 0 2
59.3  1.558  10  4 1 1

Atomic structure:
a b c (Å): 6.7207 6.7207 5.2954
angles (deg): 90.00 90.00 90.00
Space group P4/mcc (No. 124)
Inequivalent atoms, fractional coordinates:
1 Hf 0.1517 0.3452 0.0000 [8 per cell]
2 Al 0.5000 0.5000 0.2500 [2 per cell]
3 Ge 0.0000 0.0000 0.2500 [2 per cell]


(7)
This entry pairs a crystal structure of TbLuCoPt with its computed X-ray powder pattern. Radiation: copper Kα. Structure: a structure optimized by DFT (GGA-PBE).
Neutral-atom scattering factors, no anomalous dispersion.

Largest 10 diffraction maxima, by intensity, 15° ≤ 2θ ≤ 90°:
2theta  d (Å)  intensity  index
37.4  2.404  100  2 2 0
67.5  1.388  35  4 2 2
53.9  1.700  17  4 0 0
22.6  3.926  12  1 1 1
79.8  1.202  11  4 4 0
44.2  2.050  6  3 1 1
59.2  1.560  3  3 3 1
84.2  1.149  2  5 3 1
72.2  1.309  2  5 1 1
26.2  3.400  2  2 0 0

Atomic structure:
a b c (Å): 6.7998 6.7998 6.7998
angles (deg): 90.00 90.00 90.00
Space group F-43m (No. 216)
Inequivalent atoms, fractional coordinates:
1 Tb 0.0000 0.0000 0.0000 [4 per cell]
2 Lu 0.0000 0.0000 0.5000 [4 per cell]
3 Co 0.2500 0.2500 0.2500 [4 per cell]
4 Pt 0.2500 0.2500 0.7500 [4 per cell]


Repeat the third record exactly.
This entry pairs a crystal structure of PaV3H6 with its computed X-ray powder pattern. Radiation: copper Kα. Structure: a structure optimized by DFT (GGA-PBE).
Neutral-atom scattering factors, no anomalous dispersion.

Largest 10 diffraction maxima, by intensity, 15° ≤ 2θ ≤ 90°:
2theta  d (Å)  intensity  index
23.3  3.812  100  1 0 1
39.6  2.275  79  1 1 0
25.5  3.489  73  0 1 2
33.0  2.716  65  1 0 4
37.7  2.386  52  0 1 5
54.5  1.682  48  1 1 6
35.9  2.499  26  0 0 6
52.5  1.744  18  0 2 4
46.5  1.954  18  0 2 1
55.8  1.647  17  2 0 5

Atomic structure:
a b c (Å): 4.5510 4.5510 14.9937
angles (deg): 90.00 90.00 120.00
Space group R3 (No. 146, hexagonal axes)
Inequivalent atoms, fractional coordinates:
1 Pa 0.0000 0.0000 0.0000 [3 per cell]
2 V 0.0000 0.0000 0.1773 [3 per cell]
3 V 0.0000 0.0000 0.4727 [3 per cell]
4 V 0.0000 0.0000 0.8039 [3 per cell]
5 H 0.0031 0.4979 0.0496 [9 per cell]
6 H 0.0055 0.6228 0.2160 [9 per cell]